Diffraction record for BeCoBTe. The X-ray powder pattern is theoretical, not measured: it uses DFT lattice parameters and positions (GGA-PBE) and Cu Kα X-rays.
Intensities are scaled so that the largest is 100.

Structure:
```
4
Lattice="3.381 0.000 0.000 -1.689 2.929 0.000 -0.008 -1.928 5.658" Properties=species:S:1:pos:R:3 pbc="T T T"
Be 0.000 0.000 0.000
Co 0.001 1.953 1.106
B 1.691 0.977 0.502
Te 1.692 0.976 2.967
```

Peak list (10 most intense, 2θ = 5–70°, low angle first)
- 2θ 15.7, d = 5.658 Å, intensity 62, hkl 0 0 1
- 2θ 31.0, d = 2.886 Å, intensity 23, hkl 1 -1 0
- 2θ 31.6, d = 2.829 Å, intensity 16, hkl 0 0 2
- 2θ 32.3, d = 2.768 Å, intensity 100, hkl 1 -1 1
- 2θ 37.3, d = 2.413 Å, intensity 28, hkl 1 0 1
- 2θ 37.4, d = 2.406 Å, intensity 14, hkl 0 1 -2
- 2θ 40.6, d = 2.223 Å, intensity 14, hkl 0 1 1
- 2θ 40.7, d = 2.215 Å, intensity 27, hkl 1 0 -2
- 2θ 48.7, d = 1.870 Å, intensity 25, hkl -1 1 2
- 2θ 54.3, d = 1.691 Å, intensity 30, hkl 2 -1 0